No. 1
For PuSi2Se6, a crystal structure in Alexandria, relaxed with PBE gives the computed powder XRD pattern in this record (Cu Kα X-rays).
No peak broadening, texture or thermal motion is included.

Structural model:
```
PuSi2Se6
1.0
6.4423 -6.0534 0.0000
6.4423 6.0534 0.0000
-0.9793 0.0000 6.4377
Pu Si Se
2 4 12
Cartesian
5.7078 4.6747 4.8283
6.1974 -4.6747 1.6094
3.2142 0.8957 4.3926
3.7038 -0.8957 1.1738
8.2014 0.8957 5.2639
8.6911 -0.8957 2.0451
0.8915 1.0191 4.2231
3.8146 2.7821 5.5135
1.3811 -1.0191 1.0043
4.3636 0.9623 2.3865
7.6010 2.7821 4.1431
3.8740 -0.9623 5.6054
8.0313 0.9623 0.8323
4.3042 -2.7821 2.2946
7.5417 -0.9623 4.0512
10.5241 1.0191 5.4334
8.0907 -2.7821 0.9242
11.0137 -1.0191 2.2146
```

Peak list (8 most intense, 5 to 70 degrees two-theta, low angle first)
2θ (°), I/Imax
10.1, 91.3
16.2, 37.1
22.2, 50.4
23.3, 39.6
32.3, 100.0
33.0, 78.2
46.1, 48.8
47.6, 68.8

No. 2
For PuSiSe4, a crystal structure in Alexandria, relaxed with PBE gives the computed powder XRD pattern in this record (Cu Kα X-rays).
No peak broadening, texture or thermal motion is included.

Structural model:
```
PuSiSe4
1.0
6.8596 0.0000 0.0000
0.0000 6.8596 0.0000
0.0000 0.0000 8.2702
Pu Si Se
2 2 8
Cartesian
0.0000 0.0000 0.0000
0.0000 0.0000 4.1351
0.0000 3.4298 2.0676
3.4298 0.0000 6.2027
1.5201 2.0619 3.1252
1.5201 4.7977 1.0099
2.0619 1.5201 7.2604
2.0619 5.3395 5.1450
4.7977 1.5201 5.1450
4.7977 5.3395 7.2604
5.3395 2.0619 1.0099
5.3395 4.7977 3.1252
```

Peak list (8 most intense, 5 to 70 degrees two-theta, low angle first)
2θ (°), I/Imax
12.9, 85.0
25.1, 45.5
28.4, 100.0
29.1, 38.9
36.5, 37.0
37.1, 39.3
47.3, 37.0
51.6, 35.0

No. 3
For Sm3Pu5Se8, a crystal structure in Alexandria, relaxed with PBE gives the computed powder XRD pattern in this record (Cu Kα X-rays).
No peak broadening, texture or thermal motion is included.

Structural model:
```
Sm3Pu5Se8
1.0
4.1535 2.3980 6.8016
-4.1535 2.3980 6.8016
0.0000 -4.7961 6.8016
Sm Pu Se
3 5 8
Cartesian
-2.0768 -1.1990 6.8016
-2.0768 1.1990 13.6032
0.0000 2.3980 6.8016
0.0000 0.0000 0.0000
-4.1535 0.0000 10.2024
-2.0768 1.1990 3.4008
2.0768 1.1990 3.4008
0.0000 0.0000 10.2024
-2.0869 -1.2049 11.8866
0.0000 0.0000 5.0822
0.0000 -2.4097 8.5181
-2.0869 1.2049 8.5181
2.0869 -1.2049 11.8866
0.0000 2.4097 11.8866
0.0000 0.0000 15.3226
2.0869 1.2049 8.5181
```

Peak list (8 most intense, 5 to 70 degrees two-theta, low angle first)
2θ (°), I/Imax
26.3, 35.5
30.4, 100.0
43.5, 75.5
51.5, 13.7
51.6, 4.6
53.9, 6.8
54.1, 20.1
63.3, 12.6

No. 4
For Sm2PuSe4, a crystal structure in Alexandria, relaxed with PBE gives the computed powder XRD pattern in this record (Cu Kα X-rays).
No peak broadening, texture or thermal motion is included.

Structural model:
```
Sm2PuSe4
1.0
-4.1814 4.1958 5.8331
4.1814 -4.1958 5.8331
4.1814 4.1958 -5.8331
Sm Pu Se
4 2 8
Cartesian
0.0000 0.0000 0.0000
-2.0907 2.0979 2.9166
0.0000 4.1958 0.0000
2.0907 2.0979 2.9166
4.1814 0.0000 0.0000
0.0000 0.0000 5.8331
2.0984 2.0979 -0.0419
6.2644 2.0979 -0.0419
0.0000 0.0496 2.9082
4.1814 0.0496 2.9250
0.0000 4.1462 2.9082
4.1814 4.1462 2.9250
-2.0830 2.0979 5.8750
2.0830 2.0979 5.8750
```

Peak list (8 most intense, 5 to 70 degrees two-theta, low angle first)
2θ (°), I/Imax
13.0, 29.5
30.2, 100.0
30.7, 48.0
43.1, 18.8
43.3, 18.7
43.6, 73.2
53.8, 19.6
54.0, 19.5

What did the second record say?
For PuSiSe4, a crystal structure in Alexandria, relaxed with PBE gives the computed powder XRD pattern in this record (Cu Kα X-rays).
No peak broadening, texture or thermal motion is included.

Structural model:
```
PuSiSe4
1.0
6.8596 0.0000 0.0000
0.0000 6.8596 0.0000
0.0000 0.0000 8.2702
Pu Si Se
2 2 8
Cartesian
0.0000 0.0000 0.0000
0.0000 0.0000 4.1351
0.0000 3.4298 2.0676
3.4298 0.0000 6.2027
1.5201 2.0619 3.1252
1.5201 4.7977 1.0099
2.0619 1.5201 7.2604
2.0619 5.3395 5.1450
4.7977 1.5201 5.1450
4.7977 5.3395 7.2604
5.3395 2.0619 1.0099
5.3395 4.7977 3.1252
```

Peak list (8 most intense, 5 to 70 degrees two-theta, low angle first)
2θ (°), I/Imax
12.9, 85.0
25.1, 45.5
28.4, 100.0
29.1, 38.9
36.5, 37.0
37.1, 39.3
47.3, 37.0
51.6, 35.0